[1]
Simulated powder diffraction line list of Li2Fe3CuO8 for copper Kα, from the PBE+U geometry in the Materials Project.
No peak broadening, texture or thermal motion is included.

Peak list (10 most intense, 2θ from 10° to 90°, sorted by position)
hkl 0 0 2, 2θ 18.8, rel. 43
hkl 1 0 1, 2θ 19.7, rel. 100
hkl 1 0 2, 2θ 25.6, rel. 32
hkl 1 0 3, 2θ 33.3, rel. 34
hkl 1 1 2, 2θ 35.7, rel. 52
hkl 2 0 1, 2θ 36.2, rel. 47
hkl 2 0 2, 2θ 39.9, rel. 32
hkl 2 0 3, 2θ 45.5, rel. 51
hkl 2 0 5, 2θ 60.8, rel. 40
hkl 2 2 0, 2θ 62.6, rel. 36

Atomic structure:
```
data_Li2Fe3CuO8
_space_group_name_H-M_alt 'P 63 m c'
_space_group_IT_number 186
_space_group_name_Hall 'P 6c -2c'
_cell_length_a 5.9354
_cell_length_b 5.9354
_cell_length_c 9.4591
_cell_angle_alpha 90.00
_cell_angle_beta 90.00
_cell_angle_gamma 120.00
loop_
_atom_site_label
_atom_site_type_symbol
_atom_site_fract_x
_atom_site_fract_y
_atom_site_fract_z
_atom_site_occupancy
Li1 Li 0.0000 0.0000 0.0000 1
Li2 Li 0.3333 0.6667 0.4067 1
Fe1 Fe 0.1719 0.3437 0.7197 1
Cu1 Cu 0.3333 0.6667 0.9942 1
O1 O 0.0000 0.0000 0.3087 1
O2 O 0.0430 0.5215 0.8539 1
O3 O 0.1697 0.3394 0.1095 1
O4 O 0.3333 0.6667 0.6104 1
```

=====

[2]
Simulated powder diffraction line list of Li4Fe5Cu3O16 for copper Kα, from the PBE+U geometry in the Materials Project.
No peak broadening, texture or thermal motion is included.

Peak list (10 most intense, 2θ from 10° to 90°, sorted by position)
hkl 0 0 2, 2θ 18.7, rel. 100
hkl 2 0 1, 2θ 19.8, rel. 74
hkl 1 1 1, 2θ 19.9, rel. 51
hkl 3 1 -2, 2θ 35.6, rel. 28
hkl 4 0 -1, 2θ 36.0, rel. 68
hkl 2 2 -1, 2θ 36.5, rel. 30
hkl 2 2 -3, 2θ 45.6, rel. 32
hkl 2 2 3, 2θ 45.9, rel. 31
hkl 2 2 5, 2θ 61.1, rel. 35
hkl 6 2 0, 2θ 62.9, rel. 41

Atomic structure:
```
data_Li4Fe5Cu3O16
_space_group_name_H-M_alt 'C 1 m 1'
_space_group_IT_number 8
_space_group_name_Hall 'C -2y'
_cell_length_a 10.280
_cell_length_b 5.850
_cell_length_c 9.502
_cell_angle_alpha 90.00
_cell_angle_beta 90.88
_cell_angle_gamma 90.00
loop_
_atom_site_label
_atom_site_type_symbol
_atom_site_fract_x
_atom_site_fract_y
_atom_site_fract_z
_atom_site_occupancy
Li1 Li 0.000 0.000 0.000 1
Li2 Li 0.006 0.000 0.504 1
Li3 Li 0.160 0.500 0.102 1
Li4 Li 0.337 0.000 0.604 1
Fe1 Fe 0.171 0.500 0.506 1
Fe2 Fe 0.328 0.000 0.006 1
Fe3 Fe 0.328 0.500 0.783 1
Fe4 Fe 0.415 0.246 0.281 1
Cu1 Cu 0.084 0.255 0.784 1
Cu2 Cu 0.171 0.000 0.285 1
O1 O 0.004 0.000 0.694 1
O2 O 0.008 0.000 0.189 1
O3 O 0.022 0.500 0.656 1
O4 O 0.083 0.250 0.401 1
O5 O 0.159 0.000 0.898 1
O6 O 0.161 0.500 0.890 1
O7 O 0.246 0.281 0.654 1
O8 O 0.257 0.225 0.154 1
O9 O 0.331 0.000 0.393 1
O10 O 0.339 0.500 0.397 1
O11 O 0.408 0.257 0.898 1
O12 O 0.480 0.000 0.155 1
```